1.
This entry pairs a crystal structure of Ce2PaRuN4 with its theoretical XRD peak list. Radiation: Cu Kα (weighted mean of Kα1 and Kα2). Structure: the PBE geometry in Alexandria.

```
Ce2PaRuN4
1.0
6.0762 0.0000 0.0000
0.0000 6.0762 0.0000
0.0000 0.0000 6.0859
Ce Pa Ru N
4 2 2 8
Direct
0.0000 0.5000 0.0000 Ce
0.0000 0.5000 0.5000 Ce
0.5000 0.0000 0.0000 Ce
0.5000 0.0000 0.5000 Ce
0.0000 0.0000 0.0000 Pa
0.5000 0.5000 0.5000 Pa
0.0000 0.0000 0.5000 Ru
0.5000 0.5000 0.0000 Ru
0.1835 0.1835 0.7203 N
0.1835 0.8165 0.2797 N
0.3165 0.3165 0.2203 N
0.3165 0.6835 0.7797 N
0.6835 0.3165 0.7797 N
0.6835 0.6835 0.2203 N
0.8165 0.1835 0.2797 N
0.8165 0.8165 0.7203 N
```

Main lines, low angle first (2θ from 10° to 80°):
2θ/deg	I/Imax	hkl
20.7	14	1 0 1
29.4	100	2 0 0
42.0	97	2 0 2
52.1	30	2 2 2
69.1	26	4 0 2
76.8	31	2 2 4

2.
This entry pairs a crystal structure of PrIn2Ag2 with its theoretical XRD peak list. Radiation: Cu Kα (weighted mean of Kα1 and Kα2). Structure: the PBE geometry in Alexandria.

```
PrIn2Ag2
1.0
4.9725 0.0000 0.0000
-2.4862 4.3063 0.0000
0.0000 0.0000 6.0830
Pr In Ag
1 2 2
Direct
0.0000 0.0000 0.0000 Pr
0.3333 0.6667 0.6902 In
0.6667 0.3333 0.3098 In
0.3333 0.6667 0.2302 Ag
0.6667 0.3333 0.7698 Ag
```

Main lines, low angle first (2θ from 10° to 80°):
2θ/deg	I/Imax	hkl
25.3	22	0 1 1
36.1	100	1 1 0
52.0	15	2 0 2
58.7	10	1 1 3
65.0	29	3 0 0
76.7	9	2 2 0

3.
This entry pairs a crystal structure of ScMnRu with its theoretical XRD peak list. Radiation: Cu Kα (weighted mean of Kα1 and Kα2). Structure: the PBE geometry in Alexandria.

```
ScMnRu
1.0
3.1998 0.0000 0.0000
0.0000 13.5865 0.0000
0.0000 0.0000 4.4015
Sc Mn Ru
4 4 4
Direct
0.0000 0.0844 0.2500 Sc
0.0000 0.9156 0.7500 Sc
0.5000 0.4156 0.7500 Sc
0.5000 0.5844 0.2500 Sc
0.0000 0.2350 0.7500 Mn
0.0000 0.7650 0.2500 Mn
0.5000 0.2650 0.2500 Mn
0.5000 0.7350 0.7500 Mn
0.0000 0.4101 0.2500 Ru
0.0000 0.5899 0.7500 Ru
0.5000 0.0899 0.7500 Ru
0.5000 0.9101 0.2500 Ru
```

Main lines, low angle first (2θ from 10° to 80°):
2θ/deg	I/Imax	hkl
24.1	20	0 2 1
39.8	23	0 6 0
40.1	100	1 3 1
41.0	24	0 0 2
58.5	14	0 6 2
74.1	15	1 3 3

4.
This entry pairs a crystal structure of UAsF with its theoretical XRD peak list. Radiation: Cu Kα (weighted mean of Kα1 and Kα2). Structure: the PBE geometry in Alexandria.

```
UAsF
1.0
4.0775 0.0000 0.0000
-2.0388 3.5312 0.0000
0.0000 0.0000 3.9076
U As F
1 1 1
Direct
0.0000 0.0000 0.0000 U
0.6667 0.3333 0.5000 As
0.3333 0.6667 0.0000 F
```

Main lines, low angle first (2θ from 10° to 80°):
2θ/deg	I/Imax	hkl
25.2	50	1 0 0
34.2	100	1 0 1
44.4	35	1 1 0
57.3	24	2 0 1
66.3	22	1 1 2
75.2	22	2 1 1